[1]
# Li2Sm4Cd5
Calculated powder XRD pattern, CuKα. Input: a DFT-relaxed cell (PBE, Alexandria).
Peak positions follow from Bragg's law for the DFT cell and can differ from measured ones.

Cell and atoms:
Cell: 7.9265 3.5182 10.3227 Å, 90.00 94.08 90.00°
Space group P2/m (No. 10)
One atom of each set of equivalent atoms:
Li  0.0578  0.0000  0.1326 (multiplicity 2)
Sm  0.1707  0.5000  0.3888 (multiplicity 2)
Sm  0.2880  0.5000  0.9338 (multiplicity 2)
Cd  0.1906  0.0000  0.6666 (multiplicity 2)
Cd  0.4198  0.0000  0.2034 (multiplicity 2)
Cd  0.5000  0.0000  0.5000 (multiplicity 1)

Main lines, sorted by position (5 to 70 degrees two-theta):
2theta  d (Å)  I (rel.)
32.41  2.763  100
33.28  2.692  78
34.52  2.598  76
35.65  2.518  59
35.84  2.505  74
35.91  2.501  71



[2]
# LiSm2Cd
Calculated powder XRD pattern, CuKα. Input: a DFT-relaxed cell (PBE, Alexandria).
Peak positions follow from Bragg's law for the DFT cell and can differ from measured ones.

Cell and atoms:
Cell: 7.5818 7.5818 7.5818 Å, 90.00 90.00 90.00°
Space group Fm-3m (No. 225)
One atom of each set of equivalent atoms:
Li  0.0000  0.0000  0.0000 (multiplicity 4)
Sm  0.2500  0.2500  0.2500 (multiplicity 8)
Cd  0.0000  0.0000  0.5000 (multiplicity 4)

Main lines, sorted by position (5 to 70 degrees two-theta):
2theta  d (Å)  I (rel.)
20.29  4.377  16
23.47  3.791  22
33.43  2.681  100
48.00  1.895  18
54.09  1.695  10
59.75  1.548  37



[3]
# Li4SmCd
Calculated powder XRD pattern, CuKα. Input: a DFT-relaxed cell (PBE, Alexandria).
Peak positions follow from Bragg's law for the DFT cell and can differ from measured ones.

Cell and atoms:
Cell: 7.8644 7.8644 7.8644 Å, 90.00 90.00 90.00°
Space group F-43m (No. 216)
One atom of each set of equivalent atoms:
Li  0.1231  0.1231  0.3769 (multiplicity 16)
Sm  0.0000  0.0000  0.0000 (multiplicity 4)
Cd  0.2500  0.2500  0.7500 (multiplicity 4)

Main lines, sorted by position (5 to 70 degrees two-theta):
2theta  d (Å)  I (rel.)
19.55  4.541  100
32.19  2.780  96
37.95  2.371  69
50.59  1.804  24
57.40  1.605  36
61.24  1.514  22



[4]
# LiSmCd6
Calculated powder XRD pattern, CuKα. Input: a DFT-relaxed cell (PBE, Alexandria).
Peak positions follow from Bragg's law for the DFT cell and can differ from measured ones.

Cell and atoms:
Cell: 4.9552 4.9552 25.2764 Å, 90.00 90.00 120.00°
Space group R-3m (No. 166, hexagonal axes)
One atom of each set of equivalent atoms:
Li  0.0000  0.0000  0.0000 (multiplicity 3)
Sm  0.0000  0.0000  0.5000 (multiplicity 3)
Cd  0.0000  0.0000  0.1129 (multiplicity 6)
Cd  0.0000  0.0000  0.2478 (multiplicity 6)
Cd  0.0000  0.0000  0.3683 (multiplicity 6)

Main lines, sorted by position (5 to 70 degrees two-theta):
2theta  d (Å)  I (rel.)
32.40  2.763  18
35.28  2.544  94
36.26  2.478  100
51.48  1.775  31
64.59  1.443  31
65.22  1.430  17



[5]
# LiSmZnCd
Calculated powder XRD pattern, CuKα. Input: a DFT-relaxed cell (PBE, Alexandria).
Peak positions follow from Bragg's law for the DFT cell and can differ from measured ones.

Cell and atoms:
Cell: 6.8849 6.8849 6.8849 Å, 90.00 90.00 90.00°
Space group F-43m (No. 216)
One atom of each set of equivalent atoms:
Li  0.0000  0.0000  0.0000 (multiplicity 4)
Sm  0.2500  0.2500  0.7500 (multiplicity 4)
Zn  0.0000  0.0000  0.5000 (multiplicity 4)
Cd  0.2500  0.2500  0.2500 (multiplicity 4)

Main lines, sorted by position (5 to 70 degrees two-theta):
2theta  d (Å)  I (rel.)
22.37  3.975  12
25.88  3.442  38
36.93  2.434  100
53.22  1.721  17
60.10  1.540  15
66.53  1.405  34



[6]
# LiCd4Sn2
Calculated powder XRD pattern, CuKα. Input: a DFT-relaxed cell (PBE, Alexandria).
Peak positions follow from Bragg's law for the DFT cell and can differ from measured ones.

Cell and atoms:
Cell: 8.7515 4.5511 9.4611 Å, 90.00 104.74 90.00°
Space group C2/m (No. 12)
One atom of each set of equivalent atoms:
Li  0.0000  0.0000  0.0000 (multiplicity 2)
Cd  0.1576  0.5000  0.8975 (multiplicity 4)
Cd  0.1801  0.5000  0.2214 (multiplicity 4)
Sn  0.1736  0.5000  0.5702 (multiplicity 4)

Main lines, sorted by position (5 to 70 degrees two-theta):
2theta  d (Å)  I (rel.)
20.99  4.232  51
22.18  4.008  71
34.75  2.582  100
37.51  2.398  81
39.61  2.276  36
40.63  2.221  32



[7]
# Li4Cd3Sn4
Calculated powder XRD pattern, CuKα. Input: a DFT-relaxed cell (PBE, Alexandria).
Peak positions follow from Bragg's law for the DFT cell and can differ from measured ones.

Cell and atoms:
Cell: 3.2956 5.0053 15.4436 Å, 81.45 87.32 89.98°
Space group P-1 (No. 2)
One atom of each set of equivalent atoms:
Li  0.1601  0.0555  0.3921 (multiplicity 2)
Li  0.2264  0.6798  0.1463 (multiplicity 2)
Cd  0.2943  0.8509  0.7931 (multiplicity 2)
Cd  0.5000  0.5000  0.5000 (multiplicity 1)
Sn  0.2464  0.2359  0.0306 (multiplicity 2)
Sn  0.2937  0.4010  0.6865 (multiplicity 2)

Main lines, sorted by position (5 to 70 degrees two-theta):
2theta  d (Å)  I (rel.)
19.88  4.467  73
27.45  3.250  68
35.33  2.540  70
35.89  2.502  100
36.84  2.440  73
37.28  2.412  73



[8]
# Li5Cd3Sn
Calculated powder XRD pattern, CuKα. Input: a DFT-relaxed cell (PBE, Alexandria).
Peak positions follow from Bragg's law for the DFT cell and can differ from measured ones.

Cell and atoms:
Cell: 16.2826 6.6436 7.9899 Å, 90.00 116.31 90.00°
Space group C2/m (No. 12)
One atom of each set of equivalent atoms:
Li  0.0000  0.1574  0.0000 (multiplicity 4)
Li  0.1499  0.5000  0.3501 (multiplicity 4)
Li  0.1700  0.0000  0.0105 (multiplicity 4)
Li  0.1748  0.2443  0.6947 (multiplicity 8)
Cd  0.0000  0.5000  0.0000 (multiplicity 2)
Cd  0.0000  0.5000  0.5000 (multiplicity 2)
Cd  0.0079  0.0000  0.6804 (multiplicity 4)
Cd  0.1761  0.0000  0.3603 (multiplicity 4)
Sn  0.1701  0.5000  0.0092 (multiplicity 4)

Main lines, sorted by position (5 to 70 degrees two-theta):
2theta  d (Å)  I (rel.)
20.89  4.252  66
26.50  3.364  100
26.84  3.322  83
36.94  2.433  45
46.26  1.963  35
48.37  1.882  33



[9]
# LiCdSn4
Calculated powder XRD pattern, CuKα. Input: a DFT-relaxed cell (PBE, Alexandria).
Peak positions follow from Bragg's law for the DFT cell and can differ from measured ones.

Cell and atoms:
Cell: 7.4564 10.6257 4.5940 Å, 90.00 122.53 90.00°
Space group C2/m (No. 12)
One atom of each set of equivalent atoms:
Li  0.0000  0.0000  0.0000 (multiplicity 2)
Cd  0.0000  0.5000  0.5000 (multiplicity 2)
Sn  0.2470  0.1516  0.7435 (multiplicity 8)

Main lines, sorted by position (5 to 70 degrees two-theta):
2theta  d (Å)  I (rel.)
28.40  3.143  26
31.96  2.801  100
34.14  2.626  39
37.15  2.420  31
39.40  2.287  30
44.66  2.029  29



[10]
# Li5Cd2Sn5
Calculated powder XRD pattern, CuKα. Input: a DFT-relaxed cell (PBE, Alexandria).
Peak positions follow from Bragg's law for the DFT cell and can differ from measured ones.

Cell and atoms:
Cell: 11.9583 4.5919 10.9422 Å, 90.00 113.27 90.00°
Space group C2/m (No. 12)
One atom of each set of equivalent atoms:
Li  0.0000  0.0000  0.0000 (multiplicity 2)
Li  0.0822  0.0000  0.7208 (multiplicity 4)
Li  0.1613  0.0000  0.5087 (multiplicity 4)
Cd  0.0792  0.5000  0.2689 (multiplicity 4)
Sn  0.0000  0.5000  0.5000 (multiplicity 2)
Sn  0.1800  0.5000  0.9263 (multiplicity 4)
Sn  0.2316  0.0000  0.2876 (multiplicity 4)

Main lines, sorted by position (5 to 70 degrees two-theta):
2theta  d (Å)  I (rel.)
20.97  4.237  72
25.07  3.551  68
35.14  2.554  100
39.24  2.296  38
39.75  2.268  36
42.66  2.119  40



[11]
# Li5Cd5Sn2
Calculated powder XRD pattern, CuKα. Input: a DFT-relaxed cell (PBE, Alexandria).
Peak positions follow from Bragg's law for the DFT cell and can differ from measured ones.

Cell and atoms:
Cell: 4.9246 7.3343 7.6207 Å, 66.42 80.56 74.31°
Space group P-1 (No. 2)
One atom of each set of equivalent atoms:
Li  0.0000  0.0000  0.0000 (multiplicity 1)
Li  0.1071  0.2440  0.5830 (multiplicity 2)
Li  0.2816  0.7356  0.7614 (multiplicity 2)
Cd  0.2984  0.9960  0.3636 (multiplicity 2)
Cd  0.4377  0.2256  0.9272 (multiplicity 2)
Cd  0.5000  0.5000  0.5000 (multiplicity 1)
Sn  0.1335  0.5081  0.1829 (multiplicity 2)

Main lines, sorted by position (5 to 70 degrees two-theta):
2theta  d (Å)  I (rel.)
20.56  4.319  45
35.81  2.507  100
36.61  2.455  49
36.98  2.431  49
38.94  2.313  44
39.28  2.294  41